Calculated XRD peak list
Compound: TbAlGe
Radiation: copper Kα
Structure: DFT lattice parameters and positions (GGA-PBE)
Kinematic intensities with the Lorentz-polarization factor, no thermal factor.

Most intense lines, 2θ = 10–90°, low angle first:
d [Å]	I/Imax
3.814	51
3.184	79
2.892	66
2.660	100
2.416	69
2.390	68
2.304	69
2.047	39
1.958	44
1.554	54

Cell and atoms:
```
data_TbAlGe
_cell_length_a 4.0936
_cell_length_b 10.4965
_cell_length_c 5.7832
_cell_angle_alpha 90.00
_cell_angle_beta 90.00
_cell_angle_gamma 90.00
_space_group_name_H-M_alt 'C m c m'
_space_group_IT_number 63
_space_group_name_Hall '-C 2c 2'
loop_
_atom_site_label
_atom_site_type_symbol
_atom_site_fract_x
_atom_site_fract_y
_atom_site_fract_z
Tb1 Tb 0.0000 0.1897 0.2500
Al1 Al 0.0000 0.5000 0.0000
Ge1 Ge 0.0000 0.1057 0.7500
```


Calculated XRD peak list
Compound: Tb2AlGe6
Radiation: copper Kα
Structure: DFT lattice parameters and positions (GGA-PBE)
Kinematic intensities with the Lorentz-polarization factor, no thermal factor.

Most intense lines, 2θ = 10–90°, low angle first:
d [Å]	I/Imax
3.585	16
3.314	12
2.760	100
2.690	22
2.576	20
2.436	16
2.430	18
2.164	24
2.101	24
1.507	12

Cell and atoms:
```
data_Tb2AlGe6
_cell_length_a 8.4031
_cell_length_b 8.6543
_cell_length_c 10.5257
_cell_angle_alpha 90.00
_cell_angle_beta 101.73
_cell_angle_gamma 90.00
_space_group_name_H-M_alt 'C 1 2/m 1'
_space_group_IT_number 12
_space_group_name_Hall '-C 2y'
loop_
_atom_site_label
_atom_site_type_symbol
_atom_site_fract_x
_atom_site_fract_y
_atom_site_fract_z
Tb1 Tb 0.0866 0.2480 0.3394
Al1 Al 0.2001 0.0000 0.8031
Ge1 Ge 0.0093 0.5000 0.8815
Ge2 Ge 0.0695 0.0000 0.1184
Ge3 Ge 0.1388 0.5000 0.5865
Ge4 Ge 0.1475 0.0000 0.5607
Ge5 Ge 0.2198 0.2856 0.8818
```


Calculated XRD peak list
Compound: Th4AlGe
Radiation: copper Kα
Structure: DFT lattice parameters and positions (GGA-PBE)
Kinematic intensities with the Lorentz-polarization factor, no thermal factor.

Most intense lines, 2θ = 10–90°, low angle first:
d [Å]	I/Imax
2.935	100
2.917	16
2.563	10
2.402	21
2.313	13
1.854	8
1.757	17
1.687	20
1.526	15
1.371	13

Cell and atoms:
```
data_Th4AlGe
_cell_length_a 7.5950
_cell_length_b 7.5950
_cell_length_c 5.8331
_cell_angle_alpha 90.00
_cell_angle_beta 90.00
_cell_angle_gamma 90.00
_space_group_name_H-M_alt 'I 4 2 2'
_space_group_IT_number 97
_space_group_name_Hall 'I 4 2'
loop_
_atom_site_label
_atom_site_type_symbol
_atom_site_fract_x
_atom_site_fract_y
_atom_site_fract_z
Th1 Th 0.1598 0.3402 0.2500
Al1 Al 0.0000 0.0000 0.5000
Ge1 Ge 0.0000 0.0000 0.0000
```


Calculated XRD peak list
Compound: Ti4AlGe7
Radiation: copper Kα
Structure: DFT lattice parameters and positions (GGA-PBE)
Kinematic intensities with the Lorentz-polarization factor, no thermal factor.

Most intense lines, 2θ = 10–90°, low angle first:
d [Å]	I/Imax
2.731	12
2.362	21
2.289	100
1.879	8
1.850	28
1.456	18
1.349	9
1.308	8
1.144	8
1.136	20

Cell and atoms:
```
data_Ti4AlGe7
_cell_length_a 3.6994
_cell_length_b 3.6994
_cell_length_c 28.3495
_cell_angle_alpha 90.00
_cell_angle_beta 90.00
_cell_angle_gamma 90.00
_space_group_name_H-M_alt 'I -4 m 2'
_space_group_IT_number 119
_space_group_name_Hall 'I -4 -2'
loop_
_atom_site_label
_atom_site_type_symbol
_atom_site_fract_x
_atom_site_fract_y
_atom_site_fract_z
Ti1 Ti 0.0000 0.0000 0.1747
Ti2 Ti 0.0000 0.5000 0.5729
Al1 Al 0.0000 0.5000 0.7500
Ge1 Ge 0.0000 0.0000 0.0000
Ge2 Ge 0.0000 0.0000 0.3412
Ge3 Ge 0.0000 0.0000 0.5000
Ge4 Ge 0.0000 0.5000 0.0936
Ge5 Ge 0.0000 0.5000 0.2500
```


Calculated XRD peak list
Compound: U3Al2Ge3
Radiation: copper Kα
Structure: DFT lattice parameters and positions (GGA-PBE)
Kinematic intensities with the Lorentz-polarization factor, no thermal factor.

Most intense lines, 2θ = 10–90°, low angle first:
d [Å]	I/Imax
3.896	33
3.300	72
3.173	29
2.779	38
2.527	100
2.444	82
1.835	48
1.729	29
1.672	21
1.338	29

Cell and atoms:
```
data_U3Al2Ge3
_cell_length_a 7.7279
_cell_length_b 7.7279
_cell_length_c 11.1153
_cell_angle_alpha 90.00
_cell_angle_beta 90.00
_cell_angle_gamma 90.00
_space_group_name_H-M_alt 'I 4 c m'
_space_group_IT_number 108
_space_group_name_Hall 'I 4 -2c'
loop_
_atom_site_label
_atom_site_type_symbol
_atom_site_fract_x
_atom_site_fract_y
_atom_site_fract_z
U1 U 0.0000 0.0000 0.0000
U2 U 0.1565 0.3435 0.2738
Al1 Al 0.1369 0.3631 0.5846
Ge1 Ge 0.0000 0.0000 0.2487
Ge2 Ge 0.1521 0.3479 0.9608
```


Calculated XRD peak list
Compound: AlV6Ge
Radiation: copper Kα
Structure: DFT lattice parameters and positions (GGA-PBE)
Kinematic intensities with the Lorentz-polarization factor, no thermal factor.

Most intense lines, 2θ = 10–90°, low angle first:
d [Å]	I/Imax
4.792	11
2.766	4
2.396	34
2.143	100
1.956	73
1.597	3
1.383	6
1.329	18
1.281	34
1.198	13

Cell and atoms:
```
data_AlV6Ge
_cell_length_a 4.7917
_cell_length_b 4.7917
_cell_length_c 4.7917
_cell_angle_alpha 90.00
_cell_angle_beta 90.00
_cell_angle_gamma 90.00
_space_group_name_H-M_alt 'P m -3'
_space_group_IT_number 200
_space_group_name_Hall '-P 2 2 3'
loop_
_atom_site_label
_atom_site_type_symbol
_atom_site_fract_x
_atom_site_fract_y
_atom_site_fract_z
Al1 Al 0.0000 0.0000 0.0000
V1 V 0.0000 0.2502 0.5000
Ge1 Ge 0.5000 0.5000 0.5000
```


Calculated XRD peak list
Compound: Al3GeW2
Radiation: copper Kα
Structure: DFT lattice parameters and positions (GGA-PBE)
Kinematic intensities with the Lorentz-polarization factor, no thermal factor.

Most intense lines, 2θ = 10–90°, low angle first:
d [Å]	I/Imax
4.212	26
3.571	100
2.631	26
2.626	19
2.288	70
2.285	36
2.243	36
2.106	24
1.974	22
1.969	46

Cell and atoms:
```
data_Al3GeW2
_cell_length_a 4.8581
_cell_length_b 4.8654
_cell_length_c 13.4600
_cell_angle_alpha 89.83
_cell_angle_beta 89.97
_cell_angle_gamma 60.09
_space_group_name_H-M_alt 'P 1'
_space_group_IT_number 1
_space_group_name_Hall 'P 1'
loop_
_atom_site_label
_atom_site_type_symbol
_atom_site_fract_x
_atom_site_fract_y
_atom_site_fract_z
Al1 Al 0.0000 0.0000 0.0000
Al2 Al 0.0001 0.4753 0.3315
Al3 Al 0.3133 0.7990 0.8306
Al4 Al 0.5391 0.4662 0.1663
Al5 Al 0.5439 0.4701 0.6676
Al6 Al 0.8720 0.8016 0.1665
Al7 Al 0.8769 0.8027 0.6686
Al8 Al 0.9863 0.4651 0.8316
Al9 Al 0.9983 0.0035 0.5016
Ge1 Ge 0.3196 0.3505 0.0005
Ge2 Ge 0.3237 0.3536 0.5013
Ge3 Ge 0.3241 0.8051 0.3311
W1 W 0.2077 0.1332 0.1664
W2 W 0.2156 0.1318 0.6642
W3 W 0.6485 0.1263 0.8365
W4 W 0.6521 0.6917 0.9981
W5 W 0.6567 0.6914 0.4965
W6 W 0.6589 0.1328 0.3368
```


Calculated XRD peak list
Compound: Al6GeW
Radiation: copper Kα
Structure: DFT lattice parameters and positions (GGA-PBE)
Kinematic intensities with the Lorentz-polarization factor, no thermal factor.

Most intense lines, 2θ = 10–90°, low angle first:
d [Å]	I/Imax
5.035	30
3.560	94
2.518	45
2.252	31
2.056	100
1.780	14
1.592	19
1.346	51
1.187	11
1.126	15

Cell and atoms:
```
data_Al6GeW
_cell_length_a 5.0350
_cell_length_b 5.0350
_cell_length_c 5.0350
_cell_angle_alpha 90.00
_cell_angle_beta 90.00
_cell_angle_gamma 90.00
_space_group_name_H-M_alt 'P m -3'
_space_group_IT_number 200
_space_group_name_Hall '-P 2 2 3'
loop_
_atom_site_label
_atom_site_type_symbol
_atom_site_fract_x
_atom_site_fract_y
_atom_site_fract_z
Al1 Al 0.0000 0.2545 0.5000
Ge1 Ge 0.0000 0.0000 0.0000
W1 W 0.5000 0.5000 0.5000
```


Calculated XRD peak list
Compound: YAl2Ge2
Radiation: copper Kα
Structure: DFT lattice parameters and positions (GGA-PBE)
Kinematic intensities with the Lorentz-polarization factor, no thermal factor.

Most intense lines, 2θ = 10–90°, low angle first:
d [Å]	I/Imax
3.241	100
2.472	70
2.145	65
1.898	25
1.789	18
1.620	19
1.538	14
1.374	14
1.311	11
1.293	17

Cell and atoms:
```
data_YAl2Ge2
_cell_length_a 4.2909
_cell_length_b 4.2909
_cell_length_c 6.6215
_cell_angle_alpha 90.00
_cell_angle_beta 90.00
_cell_angle_gamma 120.00
_space_group_name_H-M_alt 'P -3 m 1'
_space_group_IT_number 164
_space_group_name_Hall '-P 3 2"'
loop_
_atom_site_label
_atom_site_type_symbol
_atom_site_fract_x
_atom_site_fract_y
_atom_site_fract_z
Y1 Y 0.0000 0.0000 0.0000
Al1 Al 0.3333 0.6667 0.6467
Ge1 Ge 0.3333 0.6667 0.2586
```


Calculated XRD peak list
Compound: Y4AlGe8
Radiation: copper Kα
Structure: DFT lattice parameters and positions (GGA-PBE)
Kinematic intensities with the Lorentz-polarization factor, no thermal factor.

Most intense lines, 2θ = 10–90°, low angle first:
d [Å]	I/Imax
3.314	10
2.729	14
2.576	10
2.564	100
2.263	11
2.086	18
2.023	18
1.452	12
1.278	11
1.249	10

Cell and atoms:
```
data_Y4AlGe8
_cell_length_a 4.0466
_cell_length_b 4.1712
_cell_length_c 16.3743
_cell_angle_alpha 90.00
_cell_angle_beta 90.00
_cell_angle_gamma 90.00
_space_group_name_H-M_alt 'P m m 2'
_space_group_IT_number 25
_space_group_name_Hall 'P 2 -2'
loop_
_atom_site_label
_atom_site_type_symbol
_atom_site_fract_x
_atom_site_fract_y
_atom_site_fract_z
Y1 Y 0.0000 0.0000 0.0000
Y2 Y 0.0000 0.5000 0.4839
Y3 Y 0.5000 0.0000 0.7883
Y4 Y 0.5000 0.5000 0.2836
Al1 Al 0.0000 0.5000 0.7134
Ge1 Ge 0.0000 0.0000 0.3332
Ge2 Ge 0.0000 0.0000 0.6230
Ge3 Ge 0.0000 0.5000 0.1384
Ge4 Ge 0.0000 0.5000 0.8608
Ge5 Ge 0.5000 0.0000 0.1441
Ge6 Ge 0.5000 0.0000 0.4348
Ge7 Ge 0.5000 0.5000 0.6215
Ge8 Ge 0.5000 0.5000 0.9619
```


Calculated XRD peak list
Compound: YAlGe
Radiation: copper Kα
Structure: DFT lattice parameters and positions (GGA-PBE)
Kinematic intensities with the Lorentz-polarization factor, no thermal factor.

Most intense lines, 2θ = 10–90°, low angle first:
d [Å]	I/Imax
3.796	56
2.893	63
2.651	100
2.410	89
2.385	60
2.301	97
2.037	43
1.954	30
1.549	30
1.365	30

Cell and atoms:
```
data_YAlGe
_cell_length_a 4.0732
_cell_length_b 10.4721
_cell_length_c 5.7863
_cell_angle_alpha 90.00
_cell_angle_beta 90.00
_cell_angle_gamma 90.00
_space_group_name_H-M_alt 'C m c m'
_space_group_IT_number 63
_space_group_name_Hall '-C 2c 2'
loop_
_atom_site_label
_atom_site_type_symbol
_atom_site_fract_x
_atom_site_fract_y
_atom_site_fract_z
Y1 Y 0.0000 0.1897 0.2500
Al1 Al 0.0000 0.5000 0.0000
Ge1 Ge 0.0000 0.1056 0.7500
```


Calculated XRD peak list
Compound: Y2AlGe3
Radiation: copper Kα
Structure: DFT lattice parameters and positions (GGA-PBE)
Kinematic intensities with the Lorentz-polarization factor, no thermal factor.

Most intense lines, 2θ = 10–90°, low angle first:
d [Å]	I/Imax
2.791	39
2.715	58
2.656	65
2.627	38
2.545	23
2.524	100
2.127	26
2.108	57
1.919	32
1.419	23

Cell and atoms:
```
data_Y2AlGe3
_cell_length_a 6.8401
_cell_length_b 4.2159
_cell_length_c 17.7549
_cell_angle_alpha 90.00
_cell_angle_beta 90.00
_cell_angle_gamma 90.00
_space_group_name_H-M_alt 'P n m a'
_space_group_IT_number 62
_space_group_name_Hall '-P 2ac 2n'
loop_
_atom_site_label
_atom_site_type_symbol
_atom_site_fract_x
_atom_site_fract_y
_atom_site_fract_z
Y1 Y 0.1673 0.2500 0.2039
Y2 Y 0.1690 0.2500 0.4146
Al1 Al 0.0500 0.7500 0.0642
Ge1 Ge 0.0366 0.2500 0.6730
Ge2 Ge 0.1449 0.2500 0.8120
Ge3 Ge 0.2499 0.2500 0.0343
```